1.
Diffraction record for Sc7CoBr12. The powder diffractogram is theoretical, not measured: it uses a crystal structure in the Materials Project, relaxed with PBE and Cu Kα (λ = 1.5418 Å).

Top 12 peaks for 2θ from 15° to 90°, low angle first:
| 2θ/deg | I_rel |
| --- | --- |
| 27.50 | 17 |
| 28.01 | 47 |
| 32.31 | 100 |
| 46.01 | 34 |
| 46.67 | 33 |
| 54.44 | 8 |
| 55.02 | 16 |
| 57.90 | 16 |
| 67.62 | 10 |
| 76.45 | 12 |
| 77.43 | 13 |
| 86.16 | 9 |

```
Sc7CoBr12
1.0
7.0179 4.0518 3.2432
-7.0179 4.0518 3.2432
0.0000 -8.1036 3.2432
Sc Co Br
7 1 12
Direct
0.0000 0.0000 0.0000
0.2011 0.4052 0.4768
0.4052 0.4768 0.2011
0.4768 0.2011 0.4052
0.5232 0.7989 0.5948
0.5948 0.5232 0.7989
0.7989 0.5948 0.5232
0.5000 0.5000 0.5000
0.0415 0.3356 0.1145
0.1145 0.0415 0.3356
0.1802 0.7200 0.5698
0.2800 0.4302 0.8198
0.3356 0.1145 0.0415
0.4302 0.8198 0.2800
0.5698 0.1802 0.7200
0.6644 0.8855 0.9585
0.7200 0.5698 0.1802
0.8198 0.2800 0.4302
0.8855 0.9585 0.6644
0.9585 0.6644 0.8855
```


2.
Diffraction record for U2Co21B6. The powder diffractogram is theoretical, not measured: it uses a crystal structure in the Materials Project, relaxed with PBE and Cu Kα (λ = 1.5418 Å).

Top 12 peaks for 2θ from 15° to 90°, low angle first:
| 2θ/deg | I_rel |
| --- | --- |
| 16.71 | 50 |
| 23.72 | 42 |
| 37.92 | 100 |
| 41.70 | 95 |
| 44.36 | 85 |
| 48.54 | 47 |
| 50.92 | 22 |
| 54.72 | 22 |
| 57.63 | 30 |
| 65.88 | 14 |
| 73.62 | 30 |
| 76.13 | 45 |

```
U2Co21B6
1.0
0.0000 5.3050 5.3050
5.3050 0.0000 5.3050
5.3050 5.3050 0.0000
U Co B
2 21 6
Direct
0.2500 0.2500 0.2500
0.7500 0.7500 0.7500
0.0000 0.0000 0.0000
0.0000 0.0000 0.3359
0.0000 0.0000 0.6641
0.0000 0.3359 0.0000
0.0000 0.3359 0.6641
0.0000 0.6641 0.0000
0.0000 0.6641 0.3359
0.1491 0.6170 0.6170
0.3359 0.0000 0.0000
0.3359 0.0000 0.6641
0.3359 0.6641 0.0000
0.3830 0.3830 0.3830
0.3830 0.3830 0.8509
0.3830 0.8509 0.3830
0.6170 0.1491 0.6170
0.6170 0.6170 0.1491
0.6170 0.6170 0.6170
0.6641 0.0000 0.0000
0.6641 0.0000 0.3359
0.6641 0.3359 0.0000
0.8509 0.3830 0.3830
0.2742 0.2742 0.7258
0.2742 0.7258 0.2742
0.2742 0.7258 0.7258
0.7258 0.2742 0.2742
0.7258 0.2742 0.7258
0.7258 0.7258 0.2742
```


3.
Diffraction record for Tm2C. The powder diffractogram is theoretical, not measured: it uses a crystal structure in the Materials Project, relaxed with PBE and Cu Kα (λ = 1.5418 Å).

Top 12 peaks for 2θ from 15° to 90°, low angle first:
| 2θ/deg | I_rel |
| --- | --- |
| 29.90 | 32 |
| 30.81 | 100 |
| 35.46 | 75 |
| 50.43 | 23 |
| 51.62 | 27 |
| 59.73 | 11 |
| 60.80 | 27 |
| 61.33 | 15 |
| 64.19 | 13 |
| 84.22 | 12 |
| 84.91 | 8 |
| 86.77 | 12 |

```
Tm2C
1.0
1.7708 1.0224 5.9776
-1.7708 1.0224 5.9776
0.0000 -2.0447 5.9776
Tm C
2 1
Direct
0.2405 0.2405 0.2405
0.7595 0.7595 0.7595
0.5000 0.5000 0.5000
```


4.
Diffraction record for SrZrO3. The powder diffractogram is theoretical, not measured: it uses a crystal structure in the Materials Project, relaxed with PBE and Cu Kα (λ = 1.5418 Å).

Top 12 peaks for 2θ from 15° to 90°, low angle first:
| 2θ/deg | I_rel |
| --- | --- |
| 30.23 | 25 |
| 30.44 | 100 |
| 30.58 | 24 |
| 43.57 | 45 |
| 53.83 | 18 |
| 54.00 | 11 |
| 54.25 | 34 |
| 63.34 | 16 |
| 71.82 | 7 |
| 71.95 | 9 |
| 88.19 | 11 |
| 88.41 | 6 |

```
SrZrO3
1.0
5.9123 0.0000 0.0000
0.0000 8.2983 0.0000
0.0000 0.0000 5.8471
Sr Zr O
4 4 12
Direct
0.0330 0.2500 0.0073
0.4670 0.7500 0.5073
0.5330 0.2500 0.4927
0.9670 0.7500 0.9927
0.0000 0.0000 0.5000
0.0000 0.5000 0.5000
0.5000 0.0000 0.0000
0.5000 0.5000 0.0000
0.0211 0.7500 0.4226
0.2131 0.5409 0.7873
0.2131 0.9591 0.7873
0.2869 0.0409 0.2873
0.2869 0.4591 0.2873
0.4789 0.2500 0.9226
0.5211 0.7500 0.0774
0.7131 0.5409 0.7127
0.7131 0.9591 0.7127
0.7869 0.0409 0.2127
0.7869 0.4591 0.2127
0.9789 0.2500 0.5774
```


5.
Diffraction record for MgRuN2. The powder diffractogram is theoretical, not measured: it uses a crystal structure in the Materials Project, relaxed with PBE and Cu Kα (λ = 1.5418 Å).

Top 12 peaks for 2θ from 15° to 90°, low angle first:
| 2θ/deg | I_rel |
| --- | --- |
| 20.45 | 48 |
| 21.39 | 75 |
| 30.92 | 28 |
| 31.30 | 39 |
| 33.45 | 52 |
| 35.27 | 42 |
| 35.61 | 100 |
| 46.46 | 17 |
| 55.24 | 31 |
| 61.19 | 34 |
| 66.14 | 29 |
| 67.01 | 17 |

```
MgRuN2
1.0
5.7839 0.0000 0.0000
0.0000 6.5740 0.0000
0.0000 0.0000 5.3579
Mg Ru N
4 4 8
Direct
0.0922 0.1245 0.0000
0.4078 0.6245 0.5000
0.5922 0.3755 0.0000
0.9078 0.8755 0.5000
0.0717 0.6379 0.0115
0.4283 0.1379 0.5115
0.5717 0.8621 0.0115
0.9283 0.3621 0.5115
0.0683 0.6085 0.3677
0.1080 0.1299 0.3971
0.3920 0.6299 0.8971
0.4317 0.1085 0.8677
0.5683 0.8915 0.3677
0.6080 0.3701 0.3971
0.8920 0.8701 0.8971
0.9317 0.3915 0.8677
```


6.
Diffraction record for HoCoGe. The powder diffractogram is theoretical, not measured: it uses a crystal structure in the Materials Project, relaxed with PBE and Cu Kα (λ = 1.5418 Å).

Top 12 peaks for 2θ from 15° to 90°, low angle first:
| 2θ/deg | I_rel |
| --- | --- |
| 24.44 | 24 |
| 35.25 | 54 |
| 35.99 | 100 |
| 36.15 | 34 |
| 39.70 | 17 |
| 41.46 | 19 |
| 42.88 | 34 |
| 43.29 | 38 |
| 57.29 | 18 |
| 59.64 | 13 |
| 70.09 | 21 |
| 74.05 | 12 |

```
HoCoGe
1.0
6.8530 0.0000 0.0000
0.0000 4.2186 0.0000
0.0000 0.0000 7.2189
Ho Co Ge
4 4 4
Direct
0.0085 0.2500 0.1996
0.4915 0.7500 0.6996
0.5085 0.2500 0.3004
0.9915 0.7500 0.8004
0.1567 0.7500 0.4322
0.3433 0.2500 0.9322
0.6567 0.7500 0.0678
0.8433 0.2500 0.5678
0.2038 0.2500 0.5992
0.2962 0.7500 0.0992
0.7038 0.2500 0.9008
0.7962 0.7500 0.4008
```


7.
Diffraction record for Ca3YN3. The powder diffractogram is theoretical, not measured: it uses a crystal structure in the Materials Project, relaxed with PBE and Cu Kα (λ = 1.5418 Å).

Top 12 peaks for 2θ from 15° to 90°, low angle first:
| 2θ/deg | I_rel |
| --- | --- |
| 22.49 | 39 |
| 23.27 | 44 |
| 29.62 | 100 |
| 32.84 | 100 |
| 33.33 | 40 |
| 34.36 | 25 |
| 37.52 | 54 |
| 37.78 | 70 |
| 38.06 | 26 |
| 46.59 | 23 |
| 51.25 | 21 |
| 54.30 | 33 |

```
Ca3YN3
1.0
7.3609 0.0000 0.0000
0.0000 4.7619 0.0000
-3.3589 0.0000 7.0936
Ca Y N
6 2 6
Direct
0.0728 0.2500 0.1827
0.1394 0.2500 0.7046
0.3566 0.7500 0.5233
0.6434 0.2500 0.4767
0.8606 0.7500 0.2954
0.9272 0.7500 0.8173
0.4161 0.7500 0.1358
0.5839 0.2500 0.8642
0.1390 0.7500 0.1750
0.2954 0.7500 0.8169
0.3315 0.2500 0.5373
0.6685 0.7500 0.4627
0.7046 0.2500 0.1831
0.8610 0.2500 0.8250
```